# ThMg16Al12
Simulated powder XRD pattern, Cu Kα X-rays. Input: a crystal structure in Alexandria, relaxed with PBE.
No peak broadening, texture or thermal motion is included.

Structure:
```
ThMg16Al12
1.0
7.6024 4.3893 2.9761
-7.6024 4.3893 2.9761
0.0000 -8.7785 2.9761
Th Mg Al
1 16 12
direct
0.0000 0.0000 0.0000
0.0185 0.3161 0.6285
0.0185 0.6285 0.3161
0.2391 0.2391 0.9028
0.2391 0.9028 0.2391
0.2810 0.6240 0.6240
0.3161 0.0185 0.6285
0.3161 0.6285 0.0185
0.3456 0.9433 0.9433
0.6193 0.6193 0.6193
0.6240 0.2810 0.6240
0.6240 0.6240 0.2810
0.6285 0.0185 0.3161
0.6285 0.3161 0.0185
0.9028 0.2391 0.2391
0.9433 0.3456 0.9433
0.9433 0.9433 0.3456
0.2553 0.2553 0.4385
0.2553 0.4385 0.2553
0.4385 0.2553 0.2553
0.4380 0.4380 0.7990
0.4380 0.7990 0.4380
0.6260 0.8125 0.9912
0.6260 0.9912 0.8125
0.7990 0.4380 0.4380
0.8125 0.6260 0.9912
0.8125 0.9912 0.6260
0.9912 0.6260 0.8125
0.9912 0.8125 0.6260
```

Principal peaks in the range 15 to 90 degrees two-theta, in order of rising 2θ:
2θ = 16.73°, intensity 45; 2θ = 20.43°, intensity 55; 2θ = 26.37°, intensity 33; 2θ = 26.83°, intensity 31; 2θ = 35.42°, intensity 58; 2θ = 35.89°, intensity 96; 2θ = 36.48°, intensity 100; 2θ = 39.41°, intensity 51; 2θ = 41.55°, intensity 28; 2θ = 64.28°, intensity 33


# TlPtPb2O8
Simulated powder XRD pattern, Cu Kα X-rays. Input: a crystal structure in Alexandria, relaxed with PBE.
No peak broadening, texture or thermal motion is included.

Structure:
```
TlPtPb2O8
1.0
4.8642 0.0000 0.0000
0.0000 6.9090 0.0000
-0.0264 0.0000 4.9635
Tl Pt Pb O
1 1 2 8
direct
0.0000 0.0000 0.0000
0.0000 0.5000 0.0000
0.5000 0.2546 0.5000
0.5000 0.7454 0.5000
0.2133 0.2795 0.8435
0.2133 0.7205 0.8435
0.2551 0.5000 0.3179
0.2856 0.0000 0.3378
0.7144 0.0000 0.6622
0.7449 0.5000 0.6821
0.7867 0.2795 0.1565
0.7867 0.7205 0.1565
```

Principal peaks in the range 15 to 90 degrees two-theta, in order of rising 2θ:
2θ = 25.57°, intensity 96; 2θ = 25.71°, intensity 93; 2θ = 31.55°, intensity 90; 2θ = 31.77°, intensity 100; 2θ = 36.20°, intensity 32; 2θ = 48.84°, intensity 34; 2θ = 49.00°, intensity 33; 2θ = 49.29°, intensity 37; 2θ = 49.45°, intensity 35; 2θ = 59.86°, intensity 26